# ZnCu
Simulated XRD peak list, copper Kα. Input: a PBE-relaxed structure.
Peak positions follow from Bragg's law for the DFT cell and can differ from measured ones.

Cell and atoms:
Cell lengths 4.2518, 4.6182, 4.6182 Å; angles 120.18, 90.00, 90.00 degrees
Atoms (fractional coordinates):
Zn 0.0000 0.0000 0.0000
Zn 0.5000 0.0140 0.3545
Zn 0.5000 0.3545 0.0140
Cu 0.0000 0.3441 0.6742
Cu 0.0000 0.6742 0.3441
Cu 0.5000 0.6754 0.6754

Main lines, in order of rising 2θ (2θ from 15° to 90°):
2theta  I/Imax
39.0  18
39.1  7
42.5  26
44.7  100
59.1  14
70.6  5
70.8  10
79.3  16
86.0  6
86.2  12
87.6  9
87.8  4